(1)
Structure and computed X-ray diffraction stick pattern of In2Ga17 (DFT lattice parameters and positions (PBE); Cu Ka).
Neutral-atom scattering factors, no anomalous dispersion.

Structural model:
a b c (Å): 9.2766 9.2766 15.5517
angles (deg): 90.00 90.00 120.00
Space group R-3m (No. 166, hexagonal axes)
Symmetry-distinct sites (fractional):
In: 0.0000 0.0000 0.1862 (multiplicity 6)
Ga: 0.0000 0.0000 0.3961 (multiplicity 6)
Ga: 0.0000 0.2878 0.5000 (multiplicity 18)
Ga: 0.0000 0.5000 0.0000 (multiplicity 9)
Ga: 0.0359 0.5179 0.6213 (multiplicity 18)

Largest 10 diffraction maxima, by angle, 10° ≤ 2θ ≤ 90°:
2θ 31.63, d = 2.828 Å, I = 45, hkl 1 2 2; 2θ 32.04, d = 2.794 Å, I = 27, hkl 0 2 4; 2θ 33.46, d = 2.678 Å, I = 28, hkl 3 0 0; 2θ 34.61, d = 2.592 Å, I = 17, hkl 0 0 6; 2θ 36.54, d = 2.459 Å, I = 100, hkl 2 0 5; 2θ 37.81, d = 2.379 Å, I = 84, hkl 0 3 3; 2θ 38.83, d = 2.319 Å, I = 52, hkl 2 2 0; 2θ 42.71, d = 2.117 Å, I = 28, hkl 2 2 3; 2θ 68.81, d = 1.364 Å, I = 22, hkl 4 2 5; 2θ 70.34, d = 1.338 Å, I = 22, hkl 6 0 0

---

(2)
Structure and computed X-ray diffraction stick pattern of Pm2ThPt3 (DFT lattice parameters and positions (PBE); Cu Ka).
Neutral-atom scattering factors, no anomalous dispersion.

Structural model:
a b c (Å): 4.181 4.181 17.730
angles (deg): 90.00 90.00 90.00
Space group I4/mmm (No. 139)
Symmetry-distinct sites (fractional):
Pm: 0.000 0.000 0.167 (multiplicity 4)
Th: 0.000 0.000 0.500 (multiplicity 2)
Pt: 0.000 0.000 0.000 (multiplicity 2)
Pt: 0.000 0.000 0.336 (multiplicity 4)

Largest 10 diffraction maxima, by angle, 10° ≤ 2θ ≤ 90°:
2θ 21.84, d = 4.069 Å, I = 2, hkl 1 0 1; 2θ 26.11, d = 3.413 Å, I = 1, hkl 1 0 3; 2θ 30.24, d = 2.956 Å, I = 100, hkl 1 1 0; 2θ 31.91, d = 2.805 Å, I = 1, hkl 1 1 2; 2θ 41.69, d = 2.166 Å, I = 1, hkl 1 0 7; 2θ 43.29, d = 2.090 Å, I = 76, hkl 2 0 0; 2θ 53.71, d = 1.707 Å, I = 27, hkl 2 0 6; 2θ 62.88, d = 1.478 Å, I = 13, hkl 2 2 0; 2θ 71.35, d = 1.322 Å, I = 35, hkl 3 1 0; 2θ 79.41, d = 1.207 Å, I = 26, hkl 3 1 6

---

(3)
Structure and computed X-ray diffraction stick pattern of CsCSe (DFT lattice parameters and positions (PBE); Cu Ka).
Neutral-atom scattering factors, no anomalous dispersion.

Structural model:
a b c (Å): 6.416 6.430 6.466
angles (deg): 95.28 116.93 116.74
Space group P-1 (No. 2)
Symmetry-distinct sites (fractional):
Cs: 0.000 0.000 0.000 (multiplicity 1)
Cs: 0.000 0.500 0.500 (multiplicity 1)
C: 0.500 0.072 0.572 (multiplicity 2)
Se: 0.497 0.717 0.215 (multiplicity 2)

Largest 10 diffraction maxima, by angle, 10° ≤ 2θ ≤ 90°:
2θ 26.46, d = 3.369 Å, I = 100, hkl 1 1 -1; 2θ 27.68, d = 3.222 Å, I = 69, hkl 1 0 -2; 2θ 27.90, d = 3.198 Å, I = 68, hkl -2 1 1; 2θ 37.77, d = 2.382 Å, I = 38, hkl 2 0 0; 2θ 41.58, d = 2.172 Å, I = 10, hkl -2 2 2; 2θ 47.33, d = 1.921 Å, I = 16, hkl 0 1 -3; 2θ 47.53, d = 1.913 Å, I = 16, hkl 2 1 -3; 2θ 47.71, d = 1.906 Å, I = 23, hkl 3 -2 0; 2θ 54.47, d = 1.685 Å, I = 13, hkl 2 2 -2; 2θ 61.56, d = 1.507 Å, I = 18, hkl 3 1 -1

---

(4)
Structure and computed X-ray diffraction stick pattern of Ni4Mo5 (DFT lattice parameters and positions (PBE); Cu Ka).
Neutral-atom scattering factors, no anomalous dispersion.

Structural model:
a b c (Å): 8.091 8.091 3.756
angles (deg): 90.00 90.00 90.00
Space group I4/mmm (No. 139)
Symmetry-distinct sites (fractional):
Ni: 0.000 0.345 0.000 (multiplicity 8)
Mo: 0.000 0.000 0.000 (multiplicity 2)
Mo: 0.173 0.173 0.500 (multiplicity 8)

Largest 10 diffraction maxima, by angle, 10° ≤ 2θ ≤ 90°:
2θ 31.27, d = 2.861 Å, I = 3, hkl 2 2 0; 2θ 34.42, d = 2.606 Å, I = 4, hkl 2 1 1; 2θ 41.21, d = 2.191 Å, I = 100, hkl 3 0 1; 2θ 47.69, d = 1.907 Å, I = 32, hkl 3 3 0; 2θ 48.48, d = 1.878 Å, I = 16, hkl 0 0 2; 2θ 69.74, d = 1.348 Å, I = 9, hkl 6 0 0; 2θ 70.36, d = 1.338 Å, I = 19, hkl 3 3 2; 2θ 84.34, d = 1.148 Å, I = 22, hkl 6 3 1; 2θ 85.52, d = 1.135 Å, I = 11, hkl 3 0 3; 2θ 89.47, d = 1.095 Å, I = 10, hkl 6 0 2

---

(5)
Structure and computed X-ray diffraction stick pattern of La5Ho5Er2 (DFT lattice parameters and positions (PBE); Cu Ka).
Neutral-atom scattering factors, no anomalous dispersion.

Structural model:
a b c (Å): 15.429 5.110 11.397
angles (deg): 90.00 116.78 90.00
Space group C2/m (No. 12)
Symmetry-distinct sites (fractional):
La: 0.000 0.000 0.000 (multiplicity 2)
La: 0.080 0.000 0.747 (multiplicity 4)
La: 0.248 0.000 0.253 (multiplicity 4)
Ho: 0.000 0.500 0.500 (multiplicity 2)
Ho: 0.085 0.500 0.255 (multiplicity 4)
Ho: 0.167 0.500 0.000 (multiplicity 4)
Er: 0.167 0.000 0.499 (multiplicity 4)

Largest 10 diffraction maxima, by angle, 10° ≤ 2θ ≤ 90°:
2θ 30.28, d = 2.952 Å, I = 100, hkl 3 1 1; 2θ 34.89, d = 2.572 Å, I = 17, hkl 6 0 -2; 2θ 35.12, d = 2.555 Å, I = 17, hkl 0 2 0; 2θ 35.29, d = 2.544 Å, I = 17, hkl 0 0 4; 2θ 50.34, d = 1.812 Å, I = 12, hkl 6 2 -2; 2θ 50.47, d = 1.808 Å, I = 12, hkl 6 0 2; 2θ 59.73, d = 1.548 Å, I = 15, hkl 9 1 -1; 2θ 60.04, d = 1.541 Å, I = 14, hkl 3 3 1; 2θ 60.25, d = 1.536 Å, I = 14, hkl 3 1 5; 2θ 62.97, d = 1.476 Å, I = 12, hkl 6 2 2

---

(6)
Structure and computed X-ray diffraction stick pattern of Y3AlAg3S8 (DFT lattice parameters and positions (PBE); Cu Ka).
Neutral-atom scattering factors, no anomalous dispersion.

Structural model:
a b c (Å): 13.074 7.881 7.675
angles (deg): 90.00 123.33 90.00
Space group C2/m (No. 12)
Symmetry-distinct sites (fractional):
Y: 0.000 0.000 0.000 (multiplicity 2)
Y: 0.250 0.250 0.500 (multiplicity 4)
Al: 0.000 0.500 0.000 (multiplicity 2)
Ag: 0.000 0.500 0.500 (multiplicity 2)
Ag: 0.250 0.250 0.000 (multiplicity 4)
S: 0.002 0.276 0.776 (multiplicity 8)
S: 0.226 0.500 0.224 (multiplicity 4)
S: 0.246 0.000 0.256 (multiplicity 4)

Largest 10 diffraction maxima, by angle, 10° ≤ 2θ ≤ 90°:
2θ 16.13, d = 5.496 Å, I = 21, hkl 1 1 -1; 2θ 22.57, d = 3.939 Å, I = 14, hkl 1 1 1; 2θ 27.89, d = 3.199 Å, I = 40, hkl 0 0 2; 2θ 32.59, d = 2.748 Å, I = 100, hkl 2 2 -2; 2θ 32.79, d = 2.731 Å, I = 49, hkl 4 0 0; 2θ 46.09, d = 1.969 Å, I = 52, hkl 2 2 2; 2θ 47.43, d = 1.917 Å, I = 16, hkl 4 0 -4; 2θ 47.70, d = 1.907 Å, I = 31, hkl 6 2 -2; 2θ 57.69, d = 1.598 Å, I = 17, hkl 4 4 0; 2θ 76.66, d = 1.243 Å, I = 13, hkl 2 6 -2

---

(7)
Structure and computed X-ray diffraction stick pattern of Tb6CeIn3 (DFT lattice parameters and positions (PBE); Cu Ka).
Neutral-atom scattering factors, no anomalous dispersion.

Structural model:
a b c (Å): 10.037 5.172 11.223
angles (deg): 90.00 99.50 90.00
Space group P2_1/m (No. 11)
Symmetry-distinct sites (fractional):
Tb: 0.048 0.250 0.403 (multiplicity 2)
Tb: 0.142 0.750 0.192 (multiplicity 2)
Tb: 0.230 0.250 0.984 (multiplicity 2)
Tb: 0.323 0.750 0.786 (multiplicity 2)
Tb: 0.361 0.250 0.278 (multiplicity 2)
Tb: 0.434 0.250 0.594 (multiplicity 2)
Ce: 0.456 0.750 0.092 (multiplicity 2)
In: 0.043 0.750 0.893 (multiplicity 2)
In: 0.144 0.250 0.693 (multiplicity 2)
In: 0.257 0.750 0.478 (multiplicity 2)

Largest 10 diffraction maxima, by angle, 10° ≤ 2θ ≤ 90°:
2θ 32.07, d = 2.791 Å, I = 100, hkl 3 1 -1; 2θ 32.29, d = 2.773 Å, I = 95, hkl 1 1 3; 2θ 34.42, d = 2.606 Å, I = 39, hkl 2 0 -4; 2θ 34.69, d = 2.586 Å, I = 42, hkl 0 2 0; 2θ 42.40, d = 2.132 Å, I = 20, hkl 4 0 2; 2θ 49.67, d = 1.835 Å, I = 28, hkl 2 2 -4; 2θ 55.89, d = 1.645 Å, I = 19, hkl 4 2 2; 2θ 60.05, d = 1.541 Å, I = 15, hkl 5 1 -5; 2θ 60.50, d = 1.530 Å, I = 28, hkl 3 3 -1; 2θ 60.66, d = 1.527 Å, I = 16, hkl 1 3 3

---

(8)
Structure and computed X-ray diffraction stick pattern of BaPm6Si4 (DFT lattice parameters and positions (PBE); Cu Ka).
Neutral-atom scattering factors, no anomalous dispersion.

Structural model:
a b c (Å): 9.3006 9.3006 4.2161
angles (deg): 90.00 90.00 120.00
Space group P-6m2 (No. 187)
Symmetry-distinct sites (fractional):
Ba: 0.0000 0.0000 0.0000 (multiplicity 1)
Pm: 0.1963 0.3926 0.5000 (multiplicity 3)
Pm: 0.5400 0.0800 0.0000 (multiplicity 3)
Si: 0.3333 0.6667 0.0000 (multiplicity 1)
Si: 0.3514 0.1757 0.5000 (multiplicity 3)

Largest 10 diffraction maxima, by angle, 10° ≤ 2θ ≤ 90°:
2θ 22.07, d = 4.027 Å, I = 21, hkl 2 0 0; 2θ 23.82, d = 3.735 Å, I = 26, hkl 1 0 1; 2θ 29.34, d = 3.044 Å, I = 26, hkl 2 1 0; 2θ 30.70, d = 2.912 Å, I = 100, hkl 2 0 1; 2θ 33.37, d = 2.685 Å, I = 33, hkl 3 0 0; 2θ 36.40, d = 2.468 Å, I = 29, hkl 2 1 1; 2θ 38.73, d = 2.325 Å, I = 23, hkl 2 2 0; 2θ 42.90, d = 2.108 Å, I = 15, hkl 0 0 2; 2θ 54.20, d = 1.692 Å, I = 24, hkl 3 2 1; 2θ 55.42, d = 1.658 Å, I = 15, hkl 3 0 2

---

(9)
Structure and computed X-ray diffraction stick pattern of Rb2TlPtI6 (DFT lattice parameters and positions (PBE); Cu Ka).
Neutral-atom scattering factors, no anomalous dispersion.

Structural model:
a b c (Å): 8.470 8.470 12.017
angles (deg): 90.00 90.00 90.00
Space group I4/mmm (No. 139)
Symmetry-distinct sites (fractional):
Rb: 0.000 0.500 0.250 (multiplicity 4)
Tl: 0.000 0.000 0.000 (multiplicity 2)
Pt: 0.000 0.000 0.500 (multiplicity 2)
I: 0.000 0.000 0.269 (multiplicity 4)
I: 0.230 0.230 0.500 (multiplicity 8)

Largest 10 diffraction maxima, by angle, 10° ≤ 2θ ≤ 90°:
2θ 14.78, d = 5.996 Å, I = 72, hkl 1 1 0; 2θ 20.95, d = 4.239 Å, I = 30, hkl 2 0 0; 2θ 25.74, d = 3.462 Å, I = 32, hkl 2 0 2; 2θ 29.80, d = 2.998 Å, I = 100, hkl 2 2 0; 2θ 33.42, d = 2.681 Å, I = 35, hkl 1 1 4; 2θ 36.72, d = 2.448 Å, I = 12, hkl 2 0 4; 2θ 42.65, d = 2.120 Å, I = 71, hkl 4 0 0; 2θ 52.90, d = 1.731 Å, I = 24, hkl 4 0 4; 2θ 70.27, d = 1.340 Å, I = 19, hkl 6 2 0; 2θ 78.14, d = 1.223 Å, I = 13, hkl 6 2 4

---

(10)
Structure and computed X-ray diffraction stick pattern of CsK16Na12 (DFT lattice parameters and positions (PBE); Cu Ka).
Neutral-atom scattering factors, no anomalous dispersion.

Structural model:
a b c (Å): 14.914 21.284 12.722
angles (deg): 90.00 124.44 90.00
Space group Cm (No. 8)
Symmetry-distinct sites (fractional):
Cs: 0.000 0.000 0.000 (multiplicity 2)
K: 0.118 0.296 0.415 (multiplicity 4)
K: 0.235 0.500 0.460 (multiplicity 2)
K: 0.243 0.500 0.068 (multiplicity 2)
K: 0.245 0.171 0.731 (multiplicity 4)
K: 0.257 0.161 0.137 (multiplicity 4)
K: 0.355 0.346 0.321 (multiplicity 4)
K: 0.413 0.000 0.723 (multiplicity 2)
K: 0.416 0.000 0.374 (multiplicity 2)
K: 0.429 0.294 0.040 (multiplicity 4)
K: 0.461 0.351 0.723 (multiplicity 4)
Na: 0.003 0.411 0.094 (multiplicity 4)
Na: 0.055 0.000 0.554 (multiplicity 2)
Na: 0.093 0.322 0.909 (multiplicity 4)
Na: 0.148 0.091 0.376 (multiplicity 4)
Na: 0.177 0.408 0.722 (multiplicity 4)
Na: 0.240 0.000 0.908 (multiplicity 2)
Na: 0.412 0.178 0.543 (multiplicity 4)

Largest 10 diffraction maxima, by angle, 10° ≤ 2θ ≤ 90°:
2θ 14.47, d = 6.122 Å, I = 16, hkl 1 1 1; 2θ 23.83, d = 3.734 Å, I = 26, hkl 0 4 2; 2θ 25.11, d = 3.546 Å, I = 100, hkl 0 6 0; 2θ 25.28, d = 3.523 Å, I = 96, hkl 1 3 2; 2θ 25.52, d = 3.491 Å, I = 85, hkl 3 3 -3; 2θ 27.83, d = 3.205 Å, I = 24, hkl 3 5 -1; 2θ 27.96, d = 3.191 Å, I = 16, hkl 2 0 2; 2θ 30.27, d = 2.952 Å, I = 18, hkl 3 5 0; 2θ 44.27, d = 2.046 Å, I = 19, hkl 1 9 2; 2θ 44.51, d = 2.036 Å, I = 16, hkl 7 3 -3

---

(11)
Structure and computed X-ray diffraction stick pattern of Tm2ZrSc5 (DFT lattice parameters and positions (PBE); Cu Ka).
Neutral-atom scattering factors, no anomalous dispersion.

Structural model:
a b c (Å): 6.728 10.437 11.651
angles (deg): 90.00 90.00 90.00
Space group Fmm2 (No. 42)
Symmetry-distinct sites (fractional):
Tm: 0.000 0.247 0.000 (multiplicity 8)
Zr: 0.000 0.000 0.168 (multiplicity 4)
Sc: 0.000 0.000 0.669 (multiplicity 4)
Sc: 0.249 0.000 0.912 (multiplicity 8)
Sc: 0.250 0.250 0.249 (multiplicity 8)

Largest 10 diffraction maxima, by angle, 10° ≤ 2θ ≤ 90°:
2θ 15.21, d = 5.825 Å, I = 18, hkl 0 0 2; 2θ 22.88, d = 3.887 Å, I = 23, hkl 0 2 2; 2θ 30.69, d = 2.913 Å, I = 30, hkl 2 0 2; 2θ 34.37, d = 2.609 Å, I = 23, hkl 0 4 0; 2θ 35.29, d = 2.544 Å, I = 100, hkl 0 2 4; 2θ 46.74, d = 1.943 Å, I = 21, hkl 2 4 2; 2θ 54.56, d = 1.682 Å, I = 21, hkl 4 0 0; 2θ 62.15, d = 1.493 Å, I = 18, hkl 0 6 4; 2θ 66.10, d = 1.414 Å, I = 19, hkl 4 4 0; 2θ 66.67, d = 1.403 Å, I = 15, hkl 4 2 4

---

(12)
Structure and computed X-ray diffraction stick pattern of Ac2La5TbEr (DFT lattice parameters and positions (PBE); Cu Ka).
Neutral-atom scattering factors, no anomalous dispersion.

Structural model:
a b c (Å): 5.672 22.662 10.620
angles (deg): 90.00 90.00 90.00
Space group Cmcm (No. 63)
Symmetry-distinct sites (fractional):
Ac: 0.000 0.116 0.014 (multiplicity 8)
La: 0.000 0.005 0.750 (multiplicity 4)
La: 0.000 0.277 0.061 (multiplicity 8)
La: 0.000 0.376 0.750 (multiplicity 4)
La: 0.000 0.500 0.000 (multiplicity 4)
Tb: 0.000 0.212 0.750 (multiplicity 4)
Er: 0.000 0.397 0.250 (multiplicity 4)

Largest 10 diffraction maxima, by angle, 10° ≤ 2θ ≤ 90°:
2θ 25.83, d = 3.449 Å, I = 23, hkl 1 3 2; 2θ 30.01, d = 2.977 Å, I = 16, hkl 1 1 3; 2θ 30.34, d = 2.946 Å, I = 100, hkl 1 5 2; 2θ 31.56, d = 2.835 Å, I = 44, hkl 2 0 0; 2θ 33.76, d = 2.655 Å, I = 17, hkl 0 0 4; 2θ 45.24, d = 2.004 Å, I = 9, hkl 2 8 0; 2θ 46.88, d = 1.938 Å, I = 21, hkl 2 0 4; 2θ 55.42, d = 1.658 Å, I = 19, hkl 3 5 2; 2θ 58.01, d = 1.590 Å, I = 12, hkl 1 13 2; 2θ 58.28, d = 1.583 Å, I = 8, hkl 1 5 6

---

(13)
Structure and computed X-ray diffraction stick pattern of LiPrSn2Au4 (DFT lattice parameters and positions (PBE); Cu Ka).
Neutral-atom scattering factors, no anomalous dispersion.

Structural model:
a b c (Å): 4.7228 4.7228 26.4107
angles (deg): 90.00 90.00 120.00
Space group R-3m (No. 166, hexagonal axes)
Symmetry-distinct sites (fractional):
Li: 0.0000 0.0000 0.0000 (multiplicity 3)
Pr: 0.0000 0.0000 0.5000 (multiplicity 3)
Sn: 0.0000 0.0000 0.2562 (multiplicity 6)
Au: 0.0000 0.0000 0.1066 (multiplicity 6)
Au: 0.0000 0.0000 0.3632 (multiplicity 6)

Largest 10 diffraction maxima, by angle, 10° ≤ 2θ ≤ 90°:
2θ 25.62, d = 3.477 Å, I = 23, hkl 1 0 4; 2θ 27.58, d = 3.234 Å, I = 28, hkl 0 1 5; 2θ 32.28, d = 2.773 Å, I = 24, hkl 1 0 7; 2θ 34.93, d = 2.569 Å, I = 81, hkl 0 1 8; 2θ 38.11, d = 2.361 Å, I = 100, hkl 1 1 0; 2θ 43.72, d = 2.071 Å, I = 15, hkl 0 1 11; 2θ 52.65, d = 1.738 Å, I = 25, hkl 2 0 8; 2θ 66.21, d = 1.412 Å, I = 14, hkl 1 1 15; 2θ 66.82, d = 1.400 Å, I = 25, hkl 1 2 8; 2θ 68.87, d = 1.363 Å, I = 18, hkl 3 0 0